Entry 1:
MnV2P2H8O14: computed powder diffraction line list (Cu Kα (weighted mean of Kα1 and Kα2)), based on a cell relaxed with GGA+U.
Kinematic intensities with the Lorentz-polarization factor, no thermal factor.

Most intense lines, 2θ from 10° to 90°, sorted by position:
2theta, I (rel.)
12.9, 100
15.4, 27
19.8, 26
24.0, 64
25.9, 58
28.2, 58
31.1, 97
32.3, 41
40.3, 30
48.5, 63

```
MnV2P2H8O14
1.0
-3.166 3.166 6.877
3.166 -3.166 6.877
3.166 3.166 -6.877
Mn V P H O
1 2 2 8 14
Direct
0.000 0.000 0.000 Mn
0.274 0.274 0.000 V
0.726 0.726 0.000 V
0.250 0.750 0.500 P
0.750 0.250 0.500 P
0.157 0.598 0.871 H
0.273 0.714 0.871 H
0.286 0.157 0.558 H
0.402 0.273 0.558 H
0.598 0.727 0.442 H
0.714 0.843 0.442 H
0.727 0.286 0.129 H
0.843 0.402 0.129 H
0.012 0.350 0.730 O
0.155 0.155 0.000 O
0.232 0.746 0.977 O
0.254 0.232 0.486 O
0.283 0.012 0.663 O
0.350 0.620 0.337 O
0.380 0.717 0.730 O
0.620 0.283 0.270 O
0.650 0.380 0.663 O
0.717 0.988 0.337 O
0.746 0.768 0.514 O
0.768 0.254 0.023 O
0.845 0.845 0.000 O
0.988 0.650 0.270 O
```

=====

Entry 2:
MnVP2H2O10: computed powder diffraction line list (Cu Kα (weighted mean of Kα1 and Kα2)), based on a cell relaxed with GGA+U.
Kinematic intensities with the Lorentz-polarization factor, no thermal factor.

Most intense lines, 2θ from 10° to 90°, sorted by position:
2theta, I (rel.)
18.4, 90
18.6, 99
18.9, 66
25.7, 35
26.7, 61
26.9, 64
27.4, 100
30.2, 74
35.1, 31
36.5, 57

```
MnVP2H2O10
1.0
5.179 0.000 0.000
-2.294 6.872 0.000
-0.961 -3.217 9.666
Mn V P H O
2 2 4 4 20
Direct
0.000 0.000 0.000 Mn
0.500 0.500 0.500 Mn
0.000 0.500 0.000 V
0.500 0.000 0.500 V
0.011 0.561 0.335 P
0.489 0.939 0.165 P
0.511 0.061 0.835 P
0.989 0.439 0.665 P
0.152 0.180 0.497 H
0.347 0.319 0.002 H
0.653 0.681 0.998 H
0.848 0.820 0.503 H
0.072 0.454 0.818 O
0.121 0.791 0.427 O
0.156 0.292 0.021 O
0.234 0.463 0.343 O
0.249 0.944 0.881 O
0.251 0.556 0.619 O
0.266 0.037 0.158 O
0.345 0.209 0.478 O
0.380 0.709 0.073 O
0.427 0.046 0.682 O
0.573 0.954 0.318 O
0.620 0.291 0.927 O
0.655 0.791 0.522 O
0.734 0.963 0.842 O
0.749 0.444 0.381 O
0.751 0.056 0.119 O
0.766 0.537 0.657 O
0.844 0.708 0.979 O
0.879 0.209 0.573 O
0.928 0.546 0.182 O
```

=====

Repeat the second record exactly.
MnVP2H2O10: computed powder diffraction line list (Cu Kα (weighted mean of Kα1 and Kα2)), based on a cell relaxed with GGA+U.
Kinematic intensities with the Lorentz-polarization factor, no thermal factor.

Most intense lines, 2θ from 10° to 90°, sorted by position:
2theta, I (rel.)
18.4, 90
18.6, 99
18.9, 66
25.7, 35
26.7, 61
26.9, 64
27.4, 100
30.2, 74
35.1, 31
36.5, 57

```
MnVP2H2O10
1.0
5.179 0.000 0.000
-2.294 6.872 0.000
-0.961 -3.217 9.666
Mn V P H O
2 2 4 4 20
Direct
0.000 0.000 0.000 Mn
0.500 0.500 0.500 Mn
0.000 0.500 0.000 V
0.500 0.000 0.500 V
0.011 0.561 0.335 P
0.489 0.939 0.165 P
0.511 0.061 0.835 P
0.989 0.439 0.665 P
0.152 0.180 0.497 H
0.347 0.319 0.002 H
0.653 0.681 0.998 H
0.848 0.820 0.503 H
0.072 0.454 0.818 O
0.121 0.791 0.427 O
0.156 0.292 0.021 O
0.234 0.463 0.343 O
0.249 0.944 0.881 O
0.251 0.556 0.619 O
0.266 0.037 0.158 O
0.345 0.209 0.478 O
0.380 0.709 0.073 O
0.427 0.046 0.682 O
0.573 0.954 0.318 O
0.620 0.291 0.927 O
0.655 0.791 0.522 O
0.734 0.963 0.842 O
0.749 0.444 0.381 O
0.751 0.056 0.119 O
0.766 0.537 0.657 O
0.844 0.708 0.979 O
0.879 0.209 0.573 O
0.928 0.546 0.182 O
```